The following is a simulated X-ray diffraction stick pattern of SmAl8Fe4. It was derived from a DFT-relaxed cell (GGA-PBE, Alexandria), using Cu Kα (weighted mean of Kα1 and Kα2).
Peak positions follow from Bragg's law for the DFT cell and can differ from measured ones.

Peak list (10 most intense, 2θ from 10° to 90°, by intensity)
hkl 4 0 0, 2θ 41.3, I = 100.0
hkl 2 2 0, 2θ 28.9, I = 69.7
hkl 2 0 2, 2θ 41.4, I = 68.0
hkl 4 4 0, 2θ 59.9, I = 38.3
hkl 3 0 1, 2θ 35.6, I = 33.6
hkl 1 0 1, 2θ 20.4, I = 32.6
hkl 1 1 0, 2θ 14.3, I = 30.0
hkl 6 0 2, 2θ 75.3, I = 28.7
hkl 8 0 0, 2θ 89.8, I = 20.8
hkl 2 2 2, 2θ 46.5, I = 20.8

Cell and atoms:
```
data_SmAl8Fe4
_cell_length_a 8.744
_cell_length_b 8.744
_cell_length_c 5.032
_cell_angle_alpha 90.00
_cell_angle_beta 90.00
_cell_angle_gamma 90.00
_space_group_name_H-M_alt 'I 4/m m m'
_space_group_IT_number 139
_space_group_name_Hall '-I 4 2'
loop_
_atom_site_label
_atom_site_fract_x
_atom_site_fract_y
_atom_site_fract_z
Sm1 0.000 0.000 0.000
Al1 0.000 0.223 0.500
Al2 0.000 0.342 0.000
Fe1 0.250 0.250 0.250
```

=====

The following is a simulated X-ray diffraction stick pattern of SmAl9Fe2. It was derived from a DFT-relaxed cell (GGA-PBE, Alexandria), using Cu Kα (weighted mean of Kα1 and Kα2).
Peak positions follow from Bragg's law for the DFT cell and can differ from measured ones.

Peak list (10 most intense, 2θ from 10° to 90°, by intensity)
hkl 2 1 1, 2θ 22.9, I = 100.0
hkl 3 1 2, 2θ 37.7, I = 99.9
hkl 3 2 1, 2θ 33.2, I = 73.9
hkl 4 2 0, 2θ 37.9, I = 62.3
hkl 1 0 3, 2θ 40.8, I = 38.5
hkl 1 1 2, 2θ 28.9, I = 38.4
hkl 4 2 2, 2θ 46.7, I = 31.6
hkl 4 0 0, 2θ 33.8, I = 28.9
hkl 2 0 0, 2θ 16.7, I = 27.6
hkl 5 5 2, 2θ 68.3, I = 25.5

Cell and atoms:
```
data_SmAl9Fe2
_cell_length_a 10.614
_cell_length_b 10.614
_cell_length_c 6.782
_cell_angle_alpha 90.00
_cell_angle_beta 90.00
_cell_angle_gamma 90.00
_space_group_name_H-M_alt 'I 41/a m d'
_space_group_IT_number 141
loop_
_space_group_symop_operation_xyz
'x,y,z'
'-x,-y,-z'
'-y+1/4,x+3/4,z+1/4'
'y+1/4,-x+3/4,-z+1/4'
'-x+1/2,-y,z+1/2'
'x+1/2,y,-z+1/2'
'y+1/4,-x+1/4,z+3/4'
'-y+1/4,x+1/4,-z+3/4'
'x,-y,-z'
'-x,y,z'
'-y+1/4,-x+1/4,-z+3/4'
'y+1/4,x+1/4,z+3/4'
'-x+1/2,y,-z+1/2'
'x+1/2,-y,z+1/2'
'y+1/4,x+3/4,-z+1/4'
'-y+1/4,-x+3/4,z+1/4'
'x+1/2,y+1/2,z+1/2'
'-x+1/2,-y+1/2,-z+1/2'
'-y+3/4,x+1/4,z+3/4'
'y+3/4,-x+1/4,-z+3/4'
'-x,-y+1/2,z'
'x,y+1/2,-z'
'y+3/4,-x+3/4,z+1/4'
'-y+3/4,x+3/4,-z+1/4'
'x+1/2,-y+1/2,-z+1/2'
'-x+1/2,y+1/2,z+1/2'
'-y+3/4,-x+3/4,-z+1/4'
'y+3/4,x+3/4,z+1/4'
'-x,y+1/2,-z'
'x,-y+1/2,z'
'y+3/4,x+1/4,-z+3/4'
'-y+3/4,-x+1/4,z+3/4'
loop_
_atom_site_label
_atom_site_fract_x
_atom_site_fract_y
_atom_site_fract_z
Sm1 0.000 0.250 0.375
Al1 0.000 0.250 0.875
Al2 0.123 0.052 0.693
Fe1 0.000 0.000 0.000
```

=====

The following is a simulated X-ray diffraction stick pattern of SmAl6Fe6. It was derived from a DFT-relaxed cell (GGA-PBE, Alexandria), using Cu Kα (weighted mean of Kα1 and Kα2).
Peak positions follow from Bragg's law for the DFT cell and can differ from measured ones.

Peak list (10 most intense, 2θ from 10° to 90°, by intensity)
hkl 0 0 4, 2θ 41.7, I = 100.0
hkl 2 2 0, 2θ 41.8, I = 91.9
hkl 1 2 1, 2θ 29.4, I = 74.3
hkl 0 1 1, 2θ 14.5, I = 44.5
hkl 0 4 0, 2θ 42.3, I = 41.1
hkl 0 4 4, 2θ 60.9, I = 40.9
hkl 1 3 2, 2θ 42.0, I = 31.0
hkl 2 2 2, 2θ 47.1, I = 28.6
hkl 1 1 2, 2θ 29.2, I = 26.0
hkl 2 6 0, 2θ 77.0, I = 21.4

Cell and atoms:
```
data_SmAl6Fe6
_cell_length_a 4.997
_cell_length_b 8.547
_cell_length_c 8.674
_cell_angle_alpha 90.00
_cell_angle_beta 90.00
_cell_angle_gamma 90.00
_space_group_name_H-M_alt 'I m m m'
_space_group_IT_number 71
_space_group_name_Hall '-I 2 2'
loop_
_atom_site_label
_atom_site_fract_x
_atom_site_fract_y
_atom_site_fract_z
Sm1 0.000 0.000 0.000
Al1 0.000 0.000 0.348
Al2 0.000 0.339 0.000
Al3 0.000 0.500 0.305
Fe1 0.000 0.259 0.500
Fe2 0.250 0.250 0.250
```

=====

The following is a simulated X-ray diffraction stick pattern of SrAl10Fe2. It was derived from a DFT-relaxed cell (GGA-PBE, Alexandria), using Cu Kα (weighted mean of Kα1 and Kα2).
Peak positions follow from Bragg's law for the DFT cell and can differ from measured ones.

Peak list (10 most intense, 2θ from 10° to 90°, by intensity)
hkl 4 0 0, 2θ 39.9, I = 100.0
hkl 0 4 2, 2θ 40.5, I = 93.4
hkl 3 1 2, 2θ 36.9, I = 34.9
hkl 0 0 4, 2θ 39.6, I = 34.8
hkl 2 4 2, 2θ 45.4, I = 31.8
hkl 0 2 3, 2θ 34.4, I = 31.1
hkl 2 0 2, 2θ 27.9, I = 24.0
hkl 0 2 0, 2θ 17.3, I = 21.7
hkl 4 4 2, 2θ 58.2, I = 20.1
hkl 2 2 1, 2θ 28.1, I = 18.0

Cell and atoms:
```
data_SrAl10Fe2
_cell_length_a 9.018
_cell_length_b 10.237
_cell_length_c 9.102
_cell_angle_alpha 90.00
_cell_angle_beta 90.00
_cell_angle_gamma 90.00
_space_group_name_H-M_alt 'C m c m'
_space_group_IT_number 63
_space_group_name_Hall '-C 2c 2'
loop_
_atom_site_label
_atom_site_fract_x
_atom_site_fract_y
_atom_site_fract_z
Sr1 0.000 0.119 0.250
Al1 0.000 0.163 0.598
Al2 0.000 0.376 0.047
Al3 0.151 0.373 0.750
Al4 0.229 0.000 0.000
Al5 0.229 0.359 0.250
Fe1 0.250 0.250 0.000
```

=====

The following is a simulated X-ray diffraction stick pattern of SrAl11Fe. It was derived from a DFT-relaxed cell (GGA-PBE, Alexandria), using Cu Kα (weighted mean of Kα1 and Kα2).
Peak positions follow from Bragg's law for the DFT cell and can differ from measured ones.

Peak list (10 most intense, 2θ from 10° to 90°, by intensity)
hkl 0 4 2, 2θ 38.7, I = 100.0
hkl 2 2 -2, 2θ 40.1, I = 96.5
hkl 2 2 0, 2θ 39.4, I = 66.5
hkl 1 3 1, 2θ 33.3, I = 50.5
hkl 1 1 -3, 2θ 38.3, I = 48.2
hkl 1 1 -1, 2θ 19.7, I = 36.8
hkl 1 1 1, 2θ 26.6, I = 36.7
hkl 0 2 0, 2θ 13.9, I = 34.1
hkl 1 1 2, 2θ 37.4, I = 31.8
hkl 1 3 -1, 2θ 28.1, I = 31.7

Cell and atoms:
```
data_SrAl11Fe
_cell_length_a 5.194
_cell_length_b 12.714
_cell_length_c 7.242
_cell_angle_alpha 90.00
_cell_angle_beta 109.27
_cell_angle_gamma 90.00
_space_group_name_H-M_alt 'C 1 2/m 1'
_space_group_IT_number 12
loop_
_space_group_symop_operation_xyz
'x,y,z'
'-x,-y,-z'
'-x,y,-z'
'x,-y,z'
'x+1/2,y+1/2,z'
'-x+1/2,-y+1/2,-z'
'-x+1/2,y+1/2,-z'
'x+1/2,-y+1/2,z'
loop_
_atom_site_label
_atom_site_fract_x
_atom_site_fract_y
_atom_site_fract_z
Sr1 0.000 0.000 0.000
Al1 0.000 0.000 0.500
Al2 0.110 0.391 0.238
Al3 0.194 0.172 0.364
Al4 0.250 0.250 0.000
Fe1 0.000 0.500 0.500
```

=====

The following is a simulated X-ray diffraction stick pattern of Ta2AlFe. It was derived from a DFT-relaxed cell (GGA-PBE, Alexandria), using Cu Kα (weighted mean of Kα1 and Kα2).
Peak positions follow from Bragg's law for the DFT cell and can differ from measured ones.

Peak list (10 most intense, 2θ from 10° to 90°, by intensity)
hkl 1 0 2, 2θ 39.7, I = 100.0
hkl 1 0 1, 2θ 33.2, I = 62.2
hkl 1 1 0, 2θ 44.2, I = 44.9
hkl 0 0 1, 2θ 12.1, I = 40.9
hkl 2 1 2, 2θ 78.2, I = 27.3
hkl 1 1 3, 2θ 58.8, I = 20.6
hkl 0 0 3, 2θ 36.8, I = 19.4
hkl 2 0 0, 2θ 64.3, I = 14.6
hkl 1 0 4, 2θ 59.8, I = 13.0
hkl 2 1 1, 2θ 74.3, I = 12.9

Cell and atoms:
```
data_Ta2AlFe
_cell_length_a 2.899
_cell_length_b 2.899
_cell_length_c 7.319
_cell_angle_alpha 90.00
_cell_angle_beta 90.00
_cell_angle_gamma 90.00
_space_group_name_H-M_alt 'P 4 m m'
_space_group_IT_number 99
loop_
_space_group_symop_operation_xyz
'x,y,z'
'-y,x,z'
'-x,-y,z'
'y,-x,z'
'-x,y,z'
'y,x,z'
'x,-y,z'
'-y,-x,z'
loop_
_atom_site_label
_atom_site_fract_x
_atom_site_fract_y
_atom_site_fract_z
Ta1 0.000 0.000 0.000
Ta2 0.500 0.500 0.322
Al1 0.000 0.000 0.593
Fe1 0.500 0.500 0.788
```